[1]
This entry pairs a crystal structure of Pm7SmRh4 with its simulated PXRD pattern. Radiation: Cu Kα. Structure: a structure optimized by DFT (PBE).
Neutral-atom scattering factors, no anomalous dispersion.

```
12
Lattice="6.8934 -2.8177 0.0000 6.8934 2.8177 0.0000 -5.8146 0.0000 8.1728" Properties=species:S:1:pos:R:3 pbc="T T T"
Pm 0.0000 0.0000 0.0000
Pm -1.2564 0.0000 5.0859
Pm 3.2447 0.0000 1.0136
Pm 2.1743 0.0000 5.0251
Pm 5.7978 0.0000 3.1477
Pm 4.7274 0.0000 7.1592
Pm 9.2285 0.0000 3.0869
Sm 6.8934 0.0000 0.0000
Rh -3.6277 0.0000 6.4066
Rh 0.7973 0.0000 2.7049
Rh 7.1748 0.0000 5.4679
Rh 11.5998 0.0000 1.7662
```

Largest 10 diffraction maxima, in order of rising 2θ, 2θ from 10° to 90°:
| d/Å | Rel. int. |
| --- | --- |
| 3.312 | 34 |
| 3.015 | 34 |
| 2.837 | 88 |
| 2.818 | 100 |
| 2.535 | 67 |
| 2.424 | 22 |
| 2.391 | 49 |
| 2.348 | 23 |
| 2.146 | 22 |
| 2.059 | 23 |



[2]
This entry pairs a crystal structure of Pr2DyScSb4 with its simulated PXRD pattern. Radiation: Cu Kα. Structure: a structure optimized by DFT (PBE).
Neutral-atom scattering factors, no anomalous dispersion.

```
8
Lattice="7.6398 0.0000 0.0000 0.0000 4.4299 0.0000 -2.5664 0.0000 7.2244" Properties=species:S:1:pos:R:3 pbc="T T T"
Pr 0.0000 0.0000 0.0000
Pr -1.2832 2.2149 3.6122
Dy 2.5367 0.0000 3.6122
Sc 3.8199 2.2149 0.0000
Sb 1.3936 2.2149 1.7982
Sb 0.1099 0.0000 5.5145
Sb 4.9636 0.0000 1.7099
Sb 3.6798 2.2149 5.4262
```

Largest 10 diffraction maxima, in order of rising 2θ, 2θ from 10° to 90°:
| d/Å | Rel. int. |
| --- | --- |
| 3.127 | 100 |
| 2.214 | 38 |
| 2.208 | 36 |
| 1.807 | 20 |
| 1.800 | 6 |
| 1.563 | 12 |
| 1.400 | 17 |
| 1.397 | 16 |
| 1.278 | 15 |
| 1.273 | 5 |



[3]
This entry pairs a crystal structure of PaTeCl2O6 with its simulated PXRD pattern. Radiation: Cu Kα. Structure: a structure optimized by DFT (PBE).
Neutral-atom scattering factors, no anomalous dispersion.

```
10
Lattice="0.0000 4.1444 4.1539 4.1338 0.0000 4.1539 4.1338 4.1444 0.0000" Properties=species:S:1:pos:R:3 pbc="T T T"
Pa 0.0000 0.0000 0.0000
Te 4.1338 4.1444 4.1539
Cl 2.0669 2.0722 2.0769
Cl 6.2008 6.2166 6.2308
O 6.0893 4.1444 4.1539
O 4.1338 4.1444 2.1957
O 4.1338 2.1875 4.1539
O 4.1338 6.1013 4.1539
O 4.1338 4.1444 6.1121
O 2.1784 4.1444 4.1539
```

Largest 10 diffraction maxima, in order of rising 2θ, 2θ from 10° to 90°:
| d/Å | Rel. int. |
| --- | --- |
| 4.785 | 11 |
| 4.149 | 51 |
| 4.134 | 25 |
| 2.930 | 100 |
| 1.856 | 17 |
| 1.851 | 17 |
| 1.693 | 27 |
| 1.690 | 13 |
| 1.466 | 13 |
| 1.109 | 11 |



[4]
This entry pairs a crystal structure of GaAgSbOsPt with its simulated PXRD pattern. Radiation: Cu Kα. Structure: a structure optimized by DFT (PBE).
Neutral-atom scattering factors, no anomalous dispersion.

```
5
Lattice="3.0857 0.0000 0.0000 0.0000 3.0857 0.0000 0.0000 0.0000 9.4686" Properties=species:S:1:pos:R:3 pbc="T T T"
Ga 0.0000 0.0000 0.0000
Ag 0.0000 0.0000 3.4087
Sb 0.0000 0.0000 6.2173
Os 1.5429 1.5429 7.8654
Pt 1.5429 1.5429 1.4523
```

Largest 10 diffraction maxima, in order of rising 2θ, 2θ from 10° to 90°:
| d/Å | Rel. int. |
| --- | --- |
| 4.734 | 11 |
| 2.934 | 35 |
| 2.585 | 11 |
| 2.206 | 100 |
| 2.182 | 52 |
| 1.604 | 10 |
| 1.543 | 17 |
| 1.279 | 14 |
| 1.264 | 33 |
| 1.103 | 9 |



[5]
This entry pairs a crystal structure of CsCo4 with its simulated PXRD pattern. Radiation: Cu Kα. Structure: a structure optimized by DFT (PBE).
Neutral-atom scattering factors, no anomalous dispersion.

```
5
Lattice="4.6440 0.0000 0.0000 0.0000 4.6440 0.0000 0.0000 0.0000 4.6440" Properties=species:S:1:pos:R:3 pbc="T T T"
Cs 0.0000 0.0000 0.0000
Co 0.0000 0.0000 2.3220
Co 0.0000 2.3220 0.0000
Co 2.3220 0.0000 0.0000
Co 2.3220 2.3220 2.3220
```

Largest 10 diffraction maxima, in order of rising 2θ, 2θ from 10° to 90°:
| d/Å | Rel. int. |
| --- | --- |
| 4.644 | 72 |
| 3.284 | 62 |
| 2.681 | 20 |
| 2.322 | 100 |
| 2.077 | 33 |
| 1.896 | 25 |
| 1.642 | 65 |
| 1.548 | 16 |
| 1.341 | 21 |
| 1.241 | 13 |



[6]
This entry pairs a crystal structure of Na9Cd4In with its simulated PXRD pattern. Radiation: Cu Kα. Structure: a structure optimized by DFT (PBE).
Neutral-atom scattering factors, no anomalous dispersion.

```
28
Lattice="9.9971 0.0000 0.0000 -4.9985 8.6577 0.0000 0.0000 0.0000 9.7471" Properties=species:S:1:pos:R:3 pbc="T T T"
Na -1.9560 4.6425 2.4368
Na 0.0000 3.3115 5.3824
Na 0.0000 3.3115 9.2382
Na -2.1307 7.0020 5.3824
Na -2.1307 7.0020 9.2382
Na 2.8679 1.6558 0.5089
Na 2.8679 1.6558 4.3647
Na 1.9560 4.6425 2.4368
Na 0.0000 8.0304 2.4368
Na 4.9985 0.6273 7.3103
Na 3.0425 4.0152 7.3103
Na 2.1307 7.0020 5.3824
Na 2.1307 7.0020 9.2382
Na 7.1292 1.6558 0.5089
Na 7.1292 1.6558 4.3647
Na 4.9985 5.3462 0.5089
Na 4.9985 5.3462 4.3647
Na 6.9545 4.0152 7.3103
Cd 0.0000 0.0000 0.0000
Cd 0.0000 0.0000 4.8735
Cd 0.0000 1.9049 2.4368
Cd -3.3489 7.7053 2.4368
Cd 1.6497 0.9524 7.3103
Cd 3.3489 7.7053 2.4368
Cd 8.3474 0.9524 7.3103
Cd 4.9985 6.7529 7.3103
In 0.0000 5.7718 7.3103
In 4.9985 2.8859 2.4368
```

Largest 10 diffraction maxima, in order of rising 2θ, 2θ from 10° to 90°:
| d/Å | Rel. int. |
| --- | --- |
| 8.658 | 100 |
| 4.999 | 19 |
| 4.874 | 17 |
| 3.956 | 40 |
| 2.767 | 38 |
| 2.717 | 70 |
| 2.599 | 32 |
| 2.437 | 14 |
| 2.332 | 26 |
| 2.156 | 23 |



[7]
This entry pairs a crystal structure of Na2Mg2AsO6 with its simulated PXRD pattern. Radiation: Cu Kα. Structure: a structure optimized by DFT (PBE).
Neutral-atom scattering factors, no anomalous dispersion.

```
11
Lattice="2.6411 -4.5016 0.0000 2.6411 4.5016 0.0000 -1.8513 0.0000 5.4883" Properties=species:S:1:pos:R:3 pbc="T T T"
Na 2.6411 2.9865 0.0000
Na 2.6411 -2.9865 0.0000
Mg 1.7155 1.4489 2.7442
Mg 1.7155 -1.4489 2.7442
As -0.9257 0.0000 2.7442
O -0.1560 1.3765 3.7737
O 0.6310 0.0000 1.7215
O -0.1560 -1.3765 3.7737
O 3.5869 1.3765 1.7146
O 2.7999 0.0000 3.7668
O 3.5869 -1.3765 1.7146
```

Largest 10 diffraction maxima, in order of rising 2θ, 2θ from 10° to 90°:
| d/Å | Rel. int. |
| --- | --- |
| 5.488 | 100 |
| 4.375 | 60 |
| 3.481 | 31 |
| 2.744 | 13 |
| 2.493 | 13 |
| 2.240 | 41 |
| 2.196 | 79 |
| 1.740 | 13 |
| 1.622 | 21 |
| 1.518 | 24 |



[8]
This entry pairs a crystal structure of Hf5Tc6W with its simulated PXRD pattern. Radiation: Cu Kα. Structure: a structure optimized by DFT (PBE).
Neutral-atom scattering factors, no anomalous dispersion.

```
12
Lattice="2.2893 -6.8663 0.0000 2.2893 6.8663 0.0000 0.0000 0.0000 6.4795" Properties=species:S:1:pos:R:3 pbc="T T T"
Hf 0.0000 0.0000 0.0000
Hf 2.2893 2.2876 0.0000
Hf 2.2893 2.2843 3.2397
Hf 2.2893 -2.2843 3.2397
Hf 2.2893 -2.2876 0.0000
Tc 2.2893 4.6328 1.6473
Tc 2.2893 4.6328 4.8322
Tc 2.2893 0.0000 1.6738
Tc 2.2893 0.0000 4.8057
Tc 2.2893 -4.6328 1.6473
Tc 2.2893 -4.6328 4.8322
W 0.0000 0.0000 3.2397
```

Largest 7 diffraction maxima, in order of rising 2θ, 2θ from 10° to 90°:
| d/Å | Rel. int. |
| --- | --- |
| 3.238 | 9 |
| 2.290 | 100 |
| 1.869 | 3 |
| 1.619 | 17 |
| 1.448 | 4 |
| 1.322 | 34 |
| 1.145 | 11 |



[9]
This entry pairs a crystal structure of Sm4Np3Se8 with its simulated PXRD pattern. Radiation: Cu Kα. Structure: a structure optimized by DFT (PBE).
Neutral-atom scattering factors, no anomalous dispersion.

```
15
Lattice="5.8411 -5.8438 0.0000 5.8411 5.8438 0.0000 -5.8324 0.0000 5.8454" Properties=species:S:1:pos:R:3 pbc="T T T"
Sm 0.0000 0.0000 0.0000
Sm 2.9206 2.9219 0.0000
Sm 2.9206 -2.9219 0.0000
Sm 2.9249 0.0000 2.9227
Np -2.9162 0.0000 2.9227
Np 0.0043 2.9219 2.9227
Np 0.0043 -2.9219 2.9227
Se 2.9249 2.9454 2.9227
Se -0.0178 0.0000 2.9650
Se -2.8649 0.0000 5.8371
Se 5.8411 2.8781 0.0000
Se 5.8411 -2.8781 0.0000
Se 8.7148 0.0000 0.0084
Se 5.8676 0.0000 2.8804
Se 2.9249 -2.9454 2.9227
```

Largest 10 diffraction maxima, in order of rising 2θ, 2θ from 10° to 90°:
| d/Å | Rel. int. |
| --- | --- |
| 5.845 | 10 |
| 4.131 | 9 |
| 3.374 | 22 |
| 2.922 | 100 |
| 2.066 | 75 |
| 1.762 | 11 |
| 1.687 | 26 |
| 1.461 | 12 |
| 1.307 | 31 |
| 1.193 | 21 |